No. 1
# NaPa2AgSe8
Calculated powder diffraction line list, Cu Kα. Input: a structure optimized by DFT (PBE).
No peak broadening, texture or thermal motion is included.

Principal peaks in the range 2θ = 10–90°, in order of rising 2θ:
| d/Å | intensity |
| --- | --- |
| 8.799 | 100 |
| 3.174 | 44 |
| 2.623 | 74 |
| 2.588 | 40 |
| 2.331 | 40 |
| 1.587 | 22 |

Atomic structure:
Cell: 6.3474 6.3474 8.7985 Å, 90.00 90.00 120.00°
Element x y z (fractional)
Na 0.0000 0.0000 0.0000
Pa 0.3333 0.6667 0.3824
Pa 0.6667 0.3333 0.6176
Ag 0.0000 0.0000 0.5000
Se 0.1818 0.3637 0.6811
Se 0.1818 0.8182 0.6811
Se 0.3333 0.6667 0.0901
Se 0.3637 0.1818 0.3189
Se 0.6363 0.8182 0.6811
Se 0.6667 0.3333 0.9099
Se 0.8182 0.1818 0.3189
Se 0.8182 0.6363 0.3189

=====

No. 2
# Pm2DyErTm2
Calculated powder diffraction line list, Cu Kα. Input: a structure optimized by DFT (PBE).
No peak broadening, texture or thermal motion is included.

Principal peaks in the range 2θ = 10–90°, in order of rising 2θ:
| d/Å | intensity |
| --- | --- |
| 2.837 | 100 |
| 2.806 | 36 |
| 2.797 | 68 |
| 1.994 | 24 |
| 1.622 | 24 |
| 1.483 | 30 |

Atomic structure:
Cell: 6.9966 5.6111 9.6773 Å, 90.00 90.00 90.00°
Element x y z (fractional)
Pm 0.2500 0.0000 0.1521
Pm 0.2500 0.5000 0.6787
Pm 0.7500 0.0000 0.8479
Pm 0.7500 0.5000 0.3213
Dy 0.2500 0.0000 0.8186
Dy 0.7500 0.0000 0.1814
Er 0.0000 0.5000 0.0000
Er 0.5000 0.5000 0.0000
Tm 0.0000 0.0000 0.5000
Tm 0.2500 0.5000 0.3440
Tm 0.5000 0.0000 0.5000
Tm 0.7500 0.5000 0.6560

=====

No. 3
# ErIn2Sb
Calculated powder diffraction line list, Cu Kα. Input: a structure optimized by DFT (PBE).
No peak broadening, texture or thermal motion is included.

Principal peaks in the range 2θ = 10–90°, in order of rising 2θ:
| d/Å | intensity |
| --- | --- |
| 2.700 | 100 |
| 2.518 | 21 |
| 2.262 | 30 |
| 1.683 | 24 |
| 1.486 | 16 |
| 1.376 | 24 |

Atomic structure:
Cell: 4.5235 4.5235 5.0358 Å, 90.00 90.00 90.00°
Element x y z (fractional)
Er 0.0000 0.0000 0.0000
In 0.0000 0.5000 0.5000
In 0.5000 0.0000 0.5000
Sb 0.5000 0.5000 0.0000

=====

No. 4
# Ca2H2S2O9
Calculated powder diffraction line list, Cu Kα. Input: a structure optimized by DFT (PBE).
No peak broadening, texture or thermal motion is included.

Principal peaks in the range 2θ = 10–90°, in order of rising 2θ:
| d/Å | intensity |
| --- | --- |
| 6.097 | 94 |
| 3.520 | 49 |
| 3.048 | 100 |
| 2.832 | 99 |
| 1.870 | 60 |
| 1.717 | 18 |

Atomic structure:
Cell: 9.4979 9.4979 12.1798 Å, 129.76 129.76 43.56°
Element x y z (fractional)
Ca 0.0000 0.0000 0.0000
Ca 0.0458 0.6220 0.5750
Ca 0.3780 0.9542 0.4250
Ca 0.4973 0.1792 0.0566
Ca 0.5036 0.4964 0.5000
Ca 0.8208 0.5027 0.9434
H 0.1817 0.4472 0.8414
H 0.4118 0.2926 0.8326
H 0.5528 0.8183 0.1586
H 0.7074 0.5882 0.1674
H 0.8937 0.0460 0.4138
H 0.9540 0.1063 0.5862
S 0.0903 0.7524 0.1933
S 0.2476 0.9097 0.8067
S 0.2513 0.2485 0.2471
S 0.6083 0.2167 0.6875
S 0.7515 0.7487 0.7529
S 0.7833 0.3917 0.3125
O 0.0080 0.2885 0.4160
O 0.0575 0.2871 0.1086
O 0.1056 0.1452 0.8324
O 0.1422 0.5269 0.0921
O 0.1595 0.8215 0.1626
O 0.1785 0.8405 0.8374
O 0.1991 0.4364 0.3859
O 0.2138 0.7672 0.3564
O 0.2328 0.7862 0.6436
O 0.3241 0.0487 0.2513
O 0.3306 0.3406 0.8847
O 0.3789 0.2876 0.6375
O 0.4264 0.2134 0.2413
O 0.4731 0.8578 0.9079
O 0.5636 0.8009 0.6141
O 0.6063 0.3685 0.6804
O 0.6315 0.3937 0.3196
O 0.6594 0.6694 0.1153
O 0.7115 0.9920 0.5840
O 0.7124 0.6211 0.3625
O 0.7129 0.9425 0.8914
O 0.7208 0.2275 0.8480
O 0.7725 0.2792 0.1520
O 0.7866 0.5736 0.7587
O 0.8417 0.1583 0.5000
O 0.8548 0.8944 0.1676
O 0.9513 0.6759 0.7487

=====

No. 5
# PrHo2Hg5
Calculated powder diffraction line list, Cu Kα. Input: a structure optimized by DFT (PBE).
No peak broadening, texture or thermal motion is included.

Principal peaks in the range 2θ = 10–90°, in order of rising 2θ:
| d/Å | intensity |
| --- | --- |
| 2.629 | 53 |
| 2.616 | 100 |
| 1.859 | 19 |
| 1.515 | 38 |
| 1.508 | 17 |
| 1.175 | 18 |

Atomic structure:
Cell: 8.2479 8.2479 8.2479 Å, 142.83 142.83 53.58°
Element x y z (fractional)
Pr 0.0000 0.0000 0.0000
Ho 0.2671 0.2671 0.0000
Ho 0.7329 0.7329 0.0000
Hg 0.1299 0.6299 0.5000
Hg 0.3701 0.8701 0.5000
Hg 0.5000 0.5000 0.0000
Hg 0.6299 0.1299 0.5000
Hg 0.8701 0.3701 0.5000

=====

No. 6
# Li3ZnIr
Calculated powder diffraction line list, Cu Kα. Input: a structure optimized by DFT (PBE).
No peak broadening, texture or thermal motion is included.

Principal peaks in the range 2θ = 10–90°, in order of rising 2θ:
| d/Å | intensity |
| --- | --- |
| 6.294 | 100 |
| 4.354 | 18 |
| 3.221 | 21 |
| 2.924 | 15 |
| 2.291 | 15 |
| 2.222 | 27 |

Atomic structure:
Cell: 2.6137 4.6695 12.7047 Å, 83.21 84.60 74.44°
Element x y z (fractional)
Li 0.0559 0.2238 0.1668
Li 0.1439 0.7672 0.4437
Li 0.3376 0.7398 0.0736
Li 0.6624 0.2602 0.9264
Li 0.8561 0.2328 0.5563
Li 0.9441 0.7762 0.8332
Zn 0.4473 0.2570 0.3514
Zn 0.5527 0.7430 0.6486
Ir 0.2482 0.2637 0.7422
Ir 0.7518 0.7363 0.2578